No. 1
# Na2TlHgAu
Theoretical X-ray diffraction stick pattern, Cu Ka. Input: a cell relaxed with PBE.
Neutral-atom scattering factors, no anomalous dispersion.

Crystal structure
a = 3.5790 Å, b = 5.0755 Å, c = 14.5304 Å
α = 90.00°, β = 90.00°, γ = 90.00°
Space group Imm2 (No. 44)
Symmetry-distinct sites (fractional):
Na 0.0000 0.0000 0.0000
Na 0.0000 0.0000 0.3404
Tl 0.0000 0.0000 0.5708
Hg 0.0000 0.0000 0.7846
Au 0.0000 0.5000 0.6717

Top 8 peaks for 2θ from 10° to 90°, in order of rising 2θ:
- hkl 0 0 2, d 7.265, I 76.0
- hkl 0 1 3, d 3.504, I 43.8
- hkl 1 0 1, d 3.475, I 100.0
- hkl 0 2 0, d 2.538, I 39.0
- hkl 0 1 5, d 2.522, I 69.3
- hkl 1 1 4, d 2.278, I 91.5
- hkl 1 2 1, d 2.049, I 48.2
- hkl 2 2 0, d 1.462, I 27.4



No. 2
# Nd4HgAu
Theoretical X-ray diffraction stick pattern, Cu Ka. Input: a cell relaxed with PBE.
Neutral-atom scattering factors, no anomalous dispersion.

Crystal structure
a = 7.4632 Å, b = 7.8361 Å, c = 6.9977 Å
α = 90.00°, β = 94.53°, γ = 90.00°
Space group P2_1/c (No. 14)
Symmetry-distinct sites (fractional):
Nd 0.1538 0.1519 0.3919
Nd 0.3404 0.6636 0.3315
Hg 0.0000 0.0000 0.0000
Au 0.5000 0.0000 0.5000

Top 8 peaks for 2θ from 10° to 90°, in order of rising 2θ:
- hkl 1 1 1, d 4.154, I 78.2
- hkl 0 2 1, d 3.416, I 81.8
- hkl 2 1 0, d 3.361, I 100.0
- hkl 1 0 2, d 3.064, I 98.2
- hkl 2 2 0, d 2.698, I 67.5
- hkl 1 3 -1, d 2.343, I 85.7
- hkl 3 1 -1, d 2.292, I 65.7
- hkl 1 1 -3, d 2.181, I 65.3



No. 3
# Nd3Hg2Au2
Theoretical X-ray diffraction stick pattern, Cu Ka. Input: a cell relaxed with PBE.
Neutral-atom scattering factors, no anomalous dispersion.

Crystal structure
a = 5.1604 Å, b = 5.1663 Å, c = 9.3626 Å
α = 74.84°, β = 74.83°, γ = 60.11°
Space group P-1 (No. 2)
Symmetry-distinct sites (fractional):
Nd 0.0000 0.0000 0.0000
Nd 0.2286 0.2276 0.3306
Hg 0.3824 0.3835 0.8475
Au 0.1048 0.1066 0.6676

Top 8 peaks for 2θ from 10° to 90°, in order of rising 2θ:
- hkl 0 1 -1, d 3.736, I 16.2
- hkl 1 1 -2, d 2.701, I 18.8
- hkl 1 0 3, d 2.670, I 36.2
- hkl 1 -1 0, d 2.583, I 100.0
- hkl 0 1 -3, d 2.306, I 15.8
- hkl 2 0 -2, d 1.868, I 13.0
- hkl 0 3 1, d 1.492, I 12.6
- hkl 3 3 2, d 1.489, I 11.8



No. 4
# Nd4Hg3Au2
Theoretical X-ray diffraction stick pattern, Cu Ka. Input: a cell relaxed with PBE.
Neutral-atom scattering factors, no anomalous dispersion.

Crystal structure
a = 5.1928 Å, b = 5.1928 Å, c = 10.1988 Å
α = 90.00°, β = 90.00°, γ = 120.00°
Space group P-3m1 (No. 164)
Symmetry-distinct sites (fractional):
Nd 0.0000 0.0000 0.1671
Nd 0.3333 0.6667 0.6169
Hg 0.0000 0.0000 0.5000
Hg 0.3333 0.6667 0.9954
Au 0.3333 0.6667 0.3138

Top 8 peaks for 2θ from 10° to 90°, in order of rising 2θ:
- hkl 0 1 3, d 2.712, I 94.9
- hkl 1 1 0, d 2.596, I 100.0
- hkl 2 0 3, d 1.875, I 32.6
- hkl 1 2 3, d 1.520, I 33.2
- hkl 3 0 0, d 1.499, I 18.8
- hkl 1 1 6, d 1.422, I 15.3
- hkl 2 2 0, d 1.298, I 11.7
- hkl 3 1 3, d 1.171, I 14.5



No. 5
# Nd11Hg9Au4
Theoretical X-ray diffraction stick pattern, Cu Ka. Input: a cell relaxed with PBE.
Neutral-atom scattering factors, no anomalous dispersion.

Crystal structure
a = 15.0568 Å, b = 22.6354 Å, c = 3.8207 Å
α = 90.00°, β = 90.00°, γ = 90.00°
Space group Cmmm (No. 65)
Symmetry-distinct sites (fractional):
Nd 0.0000 0.0000 0.0000
Nd 0.0000 0.1680 0.0000
Nd 0.0000 0.3661 0.0000
Nd 0.2092 0.5000 0.0000
Nd 0.2403 0.1724 0.0000
Hg 0.0000 0.5000 0.5000
Hg 0.1068 0.2619 0.5000
Hg 0.1361 0.0745 0.5000
Au 0.1504 0.4016 0.5000

Top 8 peaks for 2θ from 10° to 90°, in order of rising 2θ:
- hkl 2 4 1, d 2.919, I 9.4
- hkl 3 3 1, d 2.820, I 10.1
- hkl 4 0 1, d 2.683, I 100.0
- hkl 4 6 0, d 2.665, I 48.9
- hkl 3 5 1, d 2.525, I 9.6
- hkl 0 0 2, d 1.910, I 14.7
- hkl 4 6 2, d 1.553, I 22.6
- hkl 4 12 1, d 1.542, I 13.2



No. 6
# Nd3Hg4Au4
Theoretical X-ray diffraction stick pattern, Cu Ka. Input: a cell relaxed with PBE.
Neutral-atom scattering factors, no anomalous dispersion.

Crystal structure
a = 3.5790 Å, b = 4.7599 Å, c = 15.8180 Å
α = 81.39°, β = 83.64°, γ = 89.99°
Space group P-1 (No. 2)
Symmetry-distinct sites (fractional):
Nd 0.0000 0.0000 0.0000
Nd 0.1401 0.6410 0.7197
Hg 0.2644 0.2648 0.4704
Hg 0.4075 0.9068 0.1842
Au 0.3185 0.8171 0.3651
Au 0.4551 0.4542 0.0896

Top 8 peaks for 2θ from 10° to 90°, in order of rising 2θ:
- hkl 1 0 -3, d 2.790, I 22.7
- hkl 1 0 4, d 2.783, I 22.2
- hkl -1 1 2, d 2.684, I 100.0
- hkl 0 1 6, d 2.430, I 89.3
- hkl 0 2 1, d 2.380, I 45.2
- hkl 1 -2 3, d 1.810, I 25.4
- hkl 2 0 1, d 1.790, I 27.0
- hkl 2 2 2, d 1.431, I 26.0